Entry 1:
The following is a computed powder X-ray diffraction pattern of NaV2O2F6. It was derived from a DFT-relaxed cell (GGA+U, Alexandria), using λ = 1.5418 Å (Cu Kα).
Intensities are scaled so that the largest is 100.

Most intense lines, 10 to 90 degrees two-theta, in order of rising 2θ:
2θ/deg  I (rel.)
14.75  42
25.70  93
28.57  100
29.76  37
45.31  25
52.82  36

```
data_NaV2O2F6
_chemical_formula_sum 'Na1 V2 O2 F6'
_cell_length_a 6.9333
_cell_length_b 6.9333
_cell_length_c 3.6587
_cell_angle_alpha 90.00
_cell_angle_beta 90.00
_cell_angle_gamma 120.00
_space_group_name_H-M_alt 'P -3'
_space_group_IT_number 147
loop_
_space_group_symop_operation_xyz
'x,y,z'
'-x,-y,-z'
'-y,x-y,z'
'y,-x+y,-z'
'-x+y,-x,z'
'x-y,x,-z'
loop_
_atom_site_label
_atom_site_type_symbol
_atom_site_fract_x
_atom_site_fract_y
_atom_site_fract_z
_atom_site_occupancy
Na1 Na 0.0000 0.0000 0.0000 1
V1 V 0.3333 0.6667 0.7525 1
O1 O 0.3333 0.6667 0.2507 1
F1 F 0.1381 0.7691 0.7505 1
```

=====

Entry 2:
The following is a computed powder X-ray diffraction pattern of Na5VO4F2. It was derived from a DFT-relaxed cell (GGA+U, Alexandria), using λ = 1.5418 Å (Cu Kα).
Intensities are scaled so that the largest is 100.

Most intense lines, 10 to 90 degrees two-theta, in order of rising 2θ:
2θ/deg  I (rel.)
18.62  40
22.93  20
32.75  86
33.08  100
46.85  72
59.23  25

```
data_Na5VO4F2
_chemical_formula_sum 'Na10 V2 O8 F4'
_cell_length_a 6.678
_cell_length_b 9.305
_cell_length_c 5.547
_cell_angle_alpha 90.00
_cell_angle_beta 90.00
_cell_angle_gamma 90.00
_space_group_name_H-M_alt 'A m m 2'
_space_group_IT_number 38
loop_
_space_group_symop_operation_xyz
'x,y,z'
'-x,-y,z'
'-x,y,z'
'x,-y,z'
'x,y+1/2,z+1/2'
'-x,-y+1/2,z+1/2'
'-x,y+1/2,z+1/2'
'x,-y+1/2,z+1/2'
loop_
_atom_site_label
_atom_site_type_symbol
_atom_site_fract_x
_atom_site_fract_y
_atom_site_fract_z
_atom_site_occupancy
Na1 Na 0.000 0.000 0.000 1
Na2 Na 0.253 0.187 0.497 1
V1 V 0.500 0.000 0.022 1
O1 O 0.289 0.000 0.209 1
O2 O 0.500 0.152 0.835 1
F1 F 0.000 0.194 0.767 1
```

=====

Entry 3:
The following is a computed powder X-ray diffraction pattern of Na3WO4F. It was derived from a DFT-relaxed cell (GGA+U, Alexandria), using λ = 1.5418 Å (Cu Kα).
Intensities are scaled so that the largest is 100.

Most intense lines, 10 to 90 degrees two-theta, in order of rising 2θ:
2θ/deg  I (rel.)
20.53  100
20.63  52
23.24  30
23.52  57
31.26  67
39.51  23

```
data_Na3WO4F
_chemical_formula_sum 'Na12 W4 O16 F4'
_cell_length_a 5.727
_cell_length_b 7.654
_cell_length_c 13.053
_cell_angle_alpha 90.00
_cell_angle_beta 90.00
_cell_angle_gamma 90.00
_space_group_name_H-M_alt 'P n m a'
_space_group_IT_number 62
loop_
_space_group_symop_operation_xyz
'x,y,z'
'-x,-y,-z'
'-x+1/2,-y,z+1/2'
'x+1/2,y,-z+1/2'
'x+1/2,-y+1/2,-z+1/2'
'-x+1/2,y+1/2,z+1/2'
'-x,y+1/2,-z'
'x,-y+1/2,z'
loop_
_atom_site_label
_atom_site_type_symbol
_atom_site_fract_x
_atom_site_fract_y
_atom_site_fract_z
_atom_site_occupancy
Na1 Na 0.219 0.043 0.181 1
Na2 Na 0.228 0.750 0.894 1
W1 W 0.215 0.750 0.416 1
O1 O 0.103 0.250 0.577 1
O2 O 0.167 0.250 0.045 1
O3 O 0.185 0.056 0.848 1
F1 F 0.007 0.750 0.729 1
```

=====

Entry 4:
The following is a computed powder X-ray diffraction pattern of Na2WO2F4. It was derived from a DFT-relaxed cell (GGA+U, Alexandria), using λ = 1.5418 Å (Cu Kα).
Intensities are scaled so that the largest is 100.

Most intense lines, 10 to 90 degrees two-theta, in order of rising 2θ:
2θ/deg  I (rel.)
17.98  65
18.62  98
18.95  38
22.47  30
24.16  37
27.71  100

```
data_Na2WO2F4
_chemical_formula_sum 'Na8 W4 O8 F16'
_cell_length_a 5.115
_cell_length_b 18.734
_cell_length_c 5.536
_cell_angle_alpha 90.00
_cell_angle_beta 90.00
_cell_angle_gamma 90.00
_space_group_name_H-M_alt 'P b c n'
_space_group_IT_number 60
loop_
_space_group_symop_operation_xyz
'x,y,z'
'-x,-y,-z'
'-x+1/2,-y+1/2,z+1/2'
'x+1/2,y+1/2,-z+1/2'
'x+1/2,-y+1/2,-z'
'-x+1/2,y+1/2,z'
'-x,y,-z+1/2'
'x,-y,z+1/2'
loop_
_atom_site_label
_atom_site_type_symbol
_atom_site_fract_x
_atom_site_fract_y
_atom_site_fract_z
_atom_site_occupancy
Na1 Na 0.000 0.050 0.250 1
Na2 Na 0.000 0.271 0.750 1
W1 W 0.000 0.392 0.250 1
O1 O 0.229 0.451 0.114 1
F1 F 0.199 0.305 0.106 1
F2 F 0.211 0.374 0.541 1
```